(1)
For CeBe6Au6, a crystal structure in Alexandria, relaxed with PBE gives the simulated powder diffractogram in this record (Cu Kα (weighted mean of Kα1 and Kα2)).
Intensities are scaled so that the largest is 100.

Peak list (12 most intense, 15 to 90 degrees two-theta, sorted by position)
2θ = 20.73°, I 57; 2θ = 28.78°, I 21; 2θ = 29.47°, I 35; 2θ = 32.90°, I 16; 2θ = 35.13°, I 100; 2θ = 36.84°, I 46; 2θ = 41.14°, I 41; 2θ = 41.79°, I 32; 2θ = 42.64°, I 20; 2θ = 47.42°, I 24; 2θ = 65.28°, I 25; 2θ = 76.40°, I 23

Atomic structure:
```
CeBe6Au6
1.0
-2.440 4.285 4.497
2.440 -4.285 4.497
2.440 4.285 -4.497
Ce Be Au
1 6 6
direct
0.000 0.000 0.000
0.000 0.000 0.500
0.000 0.500 0.000
0.244 0.500 0.744
0.500 0.000 0.000
0.500 0.500 0.500
0.756 0.500 0.256
0.183 0.683 0.500
0.334 0.000 0.334
0.344 0.344 0.000
0.656 0.656 0.000
0.666 0.000 0.666
0.817 0.317 0.500
```

=====

(2)
For CeBe4Au8, a crystal structure in Alexandria, relaxed with PBE gives the simulated powder diffractogram in this record (Cu Kα (weighted mean of Kα1 and Kα2)).
Intensities are scaled so that the largest is 100.

Peak list (12 most intense, 15 to 90 degrees two-theta, sorted by position)
2θ = 19.85°, I 19; 2θ = 28.22°, I 78; 2θ = 34.02°, I 70; 2θ = 34.57°, I 50; 2θ = 40.18°, I 100; 2θ = 40.34°, I 36; 2θ = 44.77°, I 51; 2θ = 45.20°, I 32; 2θ = 53.76°, I 29; 2θ = 65.05°, I 25; 2θ = 69.64°, I 19; 2θ = 73.23°, I 38

Atomic structure:
```
CeBe4Au8
1.0
-4.472 4.472 2.635
4.472 -4.472 2.635
4.472 4.472 -2.635
Ce Be Au
1 4 8
direct
0.000 0.000 0.000
0.000 0.000 0.500
0.000 0.500 0.000
0.500 0.000 0.000
0.500 0.500 0.500
0.000 0.331 0.331
0.000 0.669 0.669
0.278 0.500 0.778
0.331 0.000 0.331
0.500 0.278 0.778
0.500 0.722 0.222
0.669 0.000 0.669
0.722 0.500 0.222
```

=====

(3)
For CeBeAu4, a crystal structure in Alexandria, relaxed with PBE gives the simulated powder diffractogram in this record (Cu Kα (weighted mean of Kα1 and Kα2)).
Intensities are scaled so that the largest is 100.

Peak list (12 most intense, 15 to 90 degrees two-theta, sorted by position)
2θ = 34.43°, I 18; 2θ = 34.70°, I 100; 2θ = 35.99°, I 38; 2θ = 38.37°, I 35; 2θ = 38.50°, I 7; 2θ = 45.92°, I 15; 2θ = 47.77°, I 8; 2θ = 51.95°, I 13; 2θ = 60.36°, I 9; 2θ = 63.88°, I 10; 2θ = 71.54°, I 15; 2θ = 72.32°, I 10

Atomic structure:
```
CeBeAu4
1.0
5.174 -3.067 0.000
5.174 3.067 0.000
-2.885 0.000 7.285
Ce Be Au
2 2 8
direct
0.205 0.205 0.302
0.795 0.795 0.698
0.457 0.457 0.703
0.543 0.543 0.297
0.146 0.658 0.089
0.244 0.756 0.500
0.248 0.248 0.728
0.342 0.854 0.911
0.658 0.146 0.089
0.752 0.752 0.272
0.756 0.244 0.500
0.854 0.342 0.911
```

=====

(4)
For Ce2BeGa4Au3, a crystal structure in Alexandria, relaxed with PBE gives the simulated powder diffractogram in this record (Cu Kα (weighted mean of Kα1 and Kα2)).
Intensities are scaled so that the largest is 100.

Peak list (12 most intense, 15 to 90 degrees two-theta, sorted by position)
2θ = 22.38°, I 30; 2θ = 26.57°, I 43; 2θ = 29.60°, I 31; 2θ = 32.44°, I 77; 2θ = 33.99°, I 100; 2θ = 42.36°, I 74; 2θ = 44.92°, I 33; 2θ = 46.95°, I 48; 2θ = 54.34°, I 36; 2θ = 61.45°, I 25; 2θ = 65.07°, I 36; 2θ = 72.12°, I 22

Atomic structure:
```
Ce2BeGa4Au3
1.0
4.268 0.000 0.000
0.000 4.268 0.000
0.000 0.000 10.856
Ce Be Ga Au
2 1 4 3
direct
0.000 0.500 0.238
0.500 0.000 0.762
0.500 0.500 0.000
0.000 0.000 0.500
0.000 0.500 0.874
0.500 0.000 0.126
0.500 0.500 0.500
0.000 0.000 0.000
0.000 0.500 0.642
0.500 0.000 0.358
```

=====

(5)
For CeBe2Pd5Au, a crystal structure in Alexandria, relaxed with PBE gives the simulated powder diffractogram in this record (Cu Kα (weighted mean of Kα1 and Kα2)).
Intensities are scaled so that the largest is 100.

Peak list (12 most intense, 15 to 90 degrees two-theta, sorted by position)
2θ = 19.84°, I 15; 2θ = 23.42°, I 12; 2θ = 31.94°, I 12; 2θ = 37.89°, I 100; 2θ = 40.32°, I 45; 2θ = 50.82°, I 10; 2θ = 52.33°, I 6; 2θ = 58.33°, I 15; 2θ = 66.78°, I 17; 2θ = 71.69°, I 30; 2θ = 80.98°, I 10; 2θ = 86.98°, I 7

Atomic structure:
```
CeBe2Pd5Au
1.0
4.474 0.000 0.000
0.000 4.474 0.000
0.000 0.000 7.186
Ce Be Pd Au
1 2 5 1
direct
0.000 0.000 0.000
0.500 0.500 0.334
0.500 0.500 0.666
0.000 0.500 0.271
0.000 0.500 0.729
0.500 0.000 0.271
0.500 0.000 0.729
0.500 0.500 0.000
0.000 0.000 0.500
```

=====

(6)
For Ce2BeZnAu6, a crystal structure in Alexandria, relaxed with PBE gives the simulated powder diffractogram in this record (Cu Kα (weighted mean of Kα1 and Kα2)).
Intensities are scaled so that the largest is 100.

Peak list (12 most intense, 15 to 90 degrees two-theta, sorted by position)
2θ = 32.52°, I 81; 2θ = 32.65°, I 80; 2θ = 37.81°, I 100; 2θ = 54.35°, I 11; 2θ = 54.55°, I 45; 2θ = 54.69°, I 11; 2θ = 64.86°, I 21; 2θ = 65.03°, I 21; 2θ = 65.09°, I 21; 2θ = 68.12°, I 11; 2θ = 68.42°, I 11; 2θ = 80.77°, I 10

Atomic structure:
```
Ce2BeZnAu6
1.0
-3.357 3.376 4.756
3.357 -3.376 4.756
3.357 3.376 -4.756
Ce Be Zn Au
2 1 1 6
direct
0.250 0.250 0.000
0.750 0.750 0.000
0.500 0.000 0.500
0.000 0.500 0.500
0.264 0.236 0.500
0.264 0.764 0.028
0.264 0.764 0.500
0.736 0.236 0.500
0.736 0.236 0.972
0.736 0.764 0.500
```

=====

(7)
For Be4CrAu, a crystal structure in Alexandria, relaxed with PBE gives the simulated powder diffractogram in this record (Cu Kα (weighted mean of Kα1 and Kα2)).
Intensities are scaled so that the largest is 100.

Peak list (11 most intense, 15 to 90 degrees two-theta, sorted by position)
2θ = 24.35°, I 100; 2θ = 28.19°, I 29; 2θ = 40.29°, I 69; 2θ = 47.64°, I 63; 2θ = 49.90°, I 9; 2θ = 58.29°, I 10; 2θ = 64.11°, I 22; 2θ = 65.99°, I 12; 2θ = 73.24°, I 24; 2θ = 78.50°, I 20; 2θ = 87.07°, I 9

Atomic structure:
```
Be4CrAu
1.0
0.000 3.166 3.166
3.166 0.000 3.166
3.166 3.166 0.000
Be Cr Au
4 1 1
direct
0.125 0.125 0.125
0.125 0.125 0.626
0.125 0.626 0.125
0.626 0.125 0.125
0.750 0.750 0.750
0.500 0.500 0.500
```

=====

(8)
For BeCu5Au2, a crystal structure in Alexandria, relaxed with PBE gives the simulated powder diffractogram in this record (Cu Kα (weighted mean of Kα1 and Kα2)).
Intensities are scaled so that the largest is 100.

Peak list (12 most intense, 15 to 90 degrees two-theta, sorted by position)
2θ = 23.46°, I 27; 2θ = 24.44°, I 22; 2θ = 33.42°, I 15; 2θ = 34.14°, I 22; 2θ = 41.84°, I 100; 2θ = 42.11°, I 9; 2θ = 42.69°, I 13; 2θ = 47.98°, I 28; 2θ = 50.10°, I 17; 2θ = 71.89°, I 16; 2θ = 85.26°, I 8; 2θ = 88.40°, I 11

Atomic structure:
```
BeCu5Au2
1.0
5.369 0.000 0.000
0.000 10.713 0.000
0.000 0.000 3.642
Be Cu Au
2 10 4
direct
0.000 0.000 0.000
0.500 0.500 0.000
0.000 0.500 0.000
0.041 0.248 0.000
0.210 0.634 0.500
0.290 0.134 0.500
0.459 0.748 0.000
0.500 0.000 0.000
0.541 0.252 0.000
0.710 0.866 0.500
0.790 0.366 0.500
0.959 0.752 0.000
0.206 0.889 0.500
0.294 0.389 0.500
0.706 0.611 0.500
0.794 0.111 0.500
```

=====

(9)
For Be4Cu5Au, a crystal structure in Alexandria, relaxed with PBE gives the simulated powder diffractogram in this record (Cu Kα (weighted mean of Kα1 and Kα2)).
Intensities are scaled so that the largest is 100.

Peak list (12 most intense, 15 to 90 degrees two-theta, sorted by position)
2θ = 15.25°, I 14; 2θ = 16.65°, I 14; 2θ = 24.53°, I 14; 2θ = 29.92°, I 11; 2θ = 32.93°, I 100; 2θ = 33.66°, I 48; 2θ = 46.93°, I 23; 2θ = 47.29°, I 42; 2θ = 47.60°, I 21; 2θ = 48.31°, I 40; 2θ = 59.56°, I 18; 2θ = 69.07°, I 14

Atomic structure:
```
Be4Cu5Au
1.0
5.811 -1.910 0.000
5.811 1.910 0.000
-0.153 0.000 5.326
Be Cu Au
4 5 1
direct
0.011 0.011 0.228
0.337 0.337 0.759
0.663 0.663 0.241
0.989 0.989 0.772
0.174 0.174 0.990
0.175 0.175 0.506
0.500 0.500 0.000
0.825 0.825 0.494
0.826 0.826 0.010
0.500 0.500 0.500
```

=====

(10)
For Be3CuAu2, a crystal structure in Alexandria, relaxed with PBE gives the simulated powder diffractogram in this record (Cu Kα (weighted mean of Kα1 and Kα2)).
Intensities are scaled so that the largest is 100.

Peak list (12 most intense, 15 to 90 degrees two-theta, sorted by position)
2θ = 21.10°, I 15; 2θ = 30.54°, I 100; 2θ = 31.88°, I 44; 2θ = 37.41°, I 17; 2θ = 43.73°, I 44; 2θ = 44.73°, I 81; 2θ = 55.13°, I 38; 2θ = 63.56°, I 15; 2θ = 72.15°, I 17; 2θ = 72.88°, I 17; 2θ = 75.05°, I 15; 2θ = 81.04°, I 29

Atomic structure:
```
Be3CuAu2
1.0
2.927 0.000 0.000
0.000 2.927 0.000
0.000 0.000 8.421
Be Cu Au
3 1 2
direct
0.000 0.000 0.000
0.000 0.000 0.357
0.000 0.000 0.643
0.500 0.500 0.500
0.500 0.500 0.175
0.500 0.500 0.825
```

=====

(11)
For Be5Cu2Au5, a crystal structure in Alexandria, relaxed with PBE gives the simulated powder diffractogram in this record (Cu Kα (weighted mean of Kα1 and Kα2)).
Intensities are scaled so that the largest is 100.

Peak list (12 most intense, 15 to 90 degrees two-theta, sorted by position)
2θ = 25.92°, I 47; 2θ = 27.24°, I 69; 2θ = 28.00°, I 32; 2θ = 28.91°, I 28; 2θ = 31.26°, I 43; 2θ = 36.77°, I 54; 2θ = 38.10°, I 29; 2θ = 38.47°, I 37; 2θ = 39.73°, I 60; 2θ = 43.29°, I 30; 2θ = 44.39°, I 51; 2θ = 44.58°, I 100

Atomic structure:
```
Be5Cu2Au5
1.0
3.519 -2.041 0.000
3.519 2.041 0.000
-1.862 0.000 11.061
Be Cu Au
5 2 5
direct
0.000 0.000 0.000
0.147 0.147 0.438
0.375 0.375 0.155
0.625 0.625 0.845
0.853 0.853 0.562
0.065 0.065 0.216
0.935 0.935 0.784
0.224 0.224 0.660
0.311 0.311 0.918
0.500 0.500 0.500
0.689 0.689 0.082
0.776 0.776 0.340
```

=====

(12)
For Be5Cu4Au, a crystal structure in Alexandria, relaxed with PBE gives the simulated powder diffractogram in this record (Cu Kα (weighted mean of Kα1 and Kα2)).
Intensities are scaled so that the largest is 100.

Peak list (12 most intense, 15 to 90 degrees two-theta, sorted by position)
2θ = 19.71°, I 15; 2θ = 32.12°, I 100; 2θ = 33.15°, I 44; 2θ = 37.97°, I 13; 2θ = 42.03°, I 16; 2θ = 46.06°, I 47; 2θ = 46.83°, I 84; 2θ = 57.92°, I 35; 2θ = 67.18°, I 14; 2θ = 76.42°, I 15; 2θ = 76.99°, I 14; 2θ = 85.87°, I 28

Atomic structure:
```
Be5Cu4Au
1.0
2.787 0.000 0.000
0.000 2.787 0.000
0.000 0.000 13.511
Be Cu Au
5 4 1
direct
0.000 0.000 0.000
0.000 0.000 0.193
0.000 0.000 0.379
0.000 0.000 0.621
0.000 0.000 0.807
0.500 0.500 0.096
0.500 0.500 0.287
0.500 0.500 0.713
0.500 0.500 0.904
0.500 0.500 0.500
```